1.
Tb2Sm3Ho6Th: simulated PXRD pattern (copper Kα), based on the PBE geometry in Alexandria.
Peak positions follow from Bragg's law for the DFT cell and can differ from measured ones.

Cell and atoms:
```
data_Tb2Sm3Ho6Th
_chemical_formula_sum 'Tb4 Sm6 Ho12 Th2'
_symmetry_space_group_name_H-M 'C 1 2/m 1'
_symmetry_Int_Tables_number 12
_symmetry_space_group_name_Hall '-C 2y'
_cell_length_a 6.1773
_cell_length_b 10.6934
_cell_length_c 11.7672
_cell_angle_alpha 90.00
_cell_angle_beta 100.10
_cell_angle_gamma 90.00
loop_
_atom_site_label
_atom_site_type_symbol
_atom_site_fract_x
_atom_site_fract_y
_atom_site_fract_z
Tb1 Tb 0.0000 0.1667 0.0000
Sm1 Sm 0.0000 0.0000 0.5000
Sm2 Sm 0.0000 0.3328 0.5000
Ho1 Ho 0.2467 0.5000 0.7523
Ho2 Ho 0.2481 0.3350 0.2478
Th1 Th 0.0000 0.5000 0.0000
```

Main lines, by angle (10° ≤ 2θ ≤ 80°):
- 2.910 Å, I 100
- 2.896 Å, I 33
- 2.517 Å, I 67
- 1.783 Å, I 24
- 1.777 Å, I 24
- 1.519 Å, I 24
- 1.518 Å, I 19
- 1.514 Å, I 14
- 1.455 Å, I 8
- 1.258 Å, I 8

***

2.
Ac2Co12Si7: simulated PXRD pattern (copper Kα), based on the PBE geometry in Alexandria.
Peak positions follow from Bragg's law for the DFT cell and can differ from measured ones.

Cell and atoms:
```
data_Ac2Co12Si7
_chemical_formula_sum 'Ac2 Co12 Si7'
_symmetry_space_group_name_H-M 'P -6'
_symmetry_Int_Tables_number 174
_symmetry_space_group_name_Hall 'P -6'
_cell_length_a 9.3098
_cell_length_b 9.3098
_cell_length_c 3.7557
_cell_angle_alpha 90.00
_cell_angle_beta 90.00
_cell_angle_gamma 120.00
loop_
_atom_site_label
_atom_site_type_symbol
_atom_site_fract_x
_atom_site_fract_y
_atom_site_fract_z
Ac1 Ac 0.0000 0.0000 0.0000
Ac2 Ac 0.3333 0.6667 0.5000
Co1 Co 0.0410 0.7609 0.5000
Co2 Co 0.1065 0.3908 0.0000
Co3 Co 0.3939 0.1996 0.0000
Co4 Co 0.5619 0.1250 0.5000
Si1 Si 0.0470 0.6148 0.0000
Si2 Si 0.2833 0.0376 0.5000
Si3 Si 0.6667 0.3333 0.0000
```

Main lines, by angle (10° ≤ 2θ ≤ 80°):
- 4.655 Å, I 16
- 3.404 Å, I 24
- 3.047 Å, I 15
- 2.748 Å, I 12
- 2.688 Å, I 16
- 2.366 Å, I 100
- 2.327 Å, I 12
- 1.878 Å, I 16
- 1.759 Å, I 14
- 1.659 Å, I 16

***

3.
LaPa2BiO8: simulated PXRD pattern (copper Kα), based on the PBE geometry in Alexandria.
Peak positions follow from Bragg's law for the DFT cell and can differ from measured ones.

Cell and atoms:
```
data_LaPa2BiO8
_chemical_formula_sum 'La1 Pa2 Bi1 O8'
_symmetry_space_group_name_H-M 'P m m m'
_symmetry_Int_Tables_number 47
_symmetry_space_group_name_Hall '-P 2 2'
_cell_length_a 3.8730
_cell_length_b 5.6180
_cell_length_c 7.7375
_cell_angle_alpha 90.00
_cell_angle_beta 90.00
_cell_angle_gamma 90.00
loop_
_atom_site_label
_atom_site_type_symbol
_atom_site_fract_x
_atom_site_fract_y
_atom_site_fract_z
La1 La 0.0000 0.0000 0.0000
Pa1 Pa 0.5000 0.5000 0.2504
Bi1 Bi 0.0000 0.0000 0.5000
O1 O 0.0000 0.2717 0.2517
O2 O 0.5000 0.2697 0.5000
O3 O 0.5000 0.2727 0.0000
```

Main lines, by angle (10° ≤ 2θ ≤ 80°):
- 3.188 Å, I 100
- 2.809 Å, I 12
- 2.737 Å, I 23
- 1.960 Å, I 34
- 1.935 Å, I 17
- 1.686 Å, I 16
- 1.654 Å, I 31
- 1.594 Å, I 10
- 1.271 Å, I 13
- 1.258 Å, I 6

***

4.
Nd5Rh2Pb: simulated PXRD pattern (copper Kα), based on the PBE geometry in Alexandria.
Peak positions follow from Bragg's law for the DFT cell and can differ from measured ones.

Cell and atoms:
```
data_Nd5Rh2Pb
_chemical_formula_sum 'Nd20 Rh8 Pb4'
_symmetry_space_group_name_H-M 'I 4/m c m'
_symmetry_Int_Tables_number 140
_symmetry_space_group_name_Hall '-I 4 2c'
_cell_length_a 8.0352
_cell_length_b 8.0352
_cell_length_c 13.9955
_cell_angle_alpha 90.00
_cell_angle_beta 90.00
_cell_angle_gamma 90.00
loop_
_atom_site_label
_atom_site_type_symbol
_atom_site_fract_x
_atom_site_fract_y
_atom_site_fract_z
Nd1 Nd 0.0000 0.0000 0.0000
Nd2 Nd 0.1592 0.3408 0.1344
Rh1 Rh 0.1395 0.3605 0.5000
Pb1 Pb 0.0000 0.0000 0.2500
```

Main lines, by angle (10° ≤ 2θ ≤ 80°):
- 2.979 Å, I 31
- 2.846 Å, I 100
- 2.638 Å, I 38
- 2.541 Å, I 68
- 2.208 Å, I 25
- 1.797 Å, I 22
- 1.749 Å, I 15
- 1.666 Å, I 17
- 1.441 Å, I 21
- 1.421 Å, I 19